Record 1
The following is a theoretical XRD peak list of Sr3CaMn2S2O5. It was derived from the PBE+U geometry in Alexandria, using copper Kα.
Kinematic intensities with the Lorentz-polarization factor, no thermal factor.

Main lines, by intensity (10° ≤ 2θ ≤ 80°):
| 2theta | d/Å | I (rel.) | hkl |
| --- | --- | --- | --- |
| 31.4 | 2.850 | 100 | 1 0 7 |
| 31.8 | 2.812 | 46 | 1 1 0 |
| 45.6 | 1.988 | 42 | 2 0 0 |
| 36.2 | 2.483 | 37 | 1 0 9 |
| 56.4 | 1.631 | 36 | 2 1 7 |
| 37.1 | 2.422 | 21 | 1 1 6 |
| 59.6 | 1.552 | 17 | 2 1 9 |
| 70.9 | 1.330 | 14 | 2 0 16 |

Structural model:
abc: 3.977 3.977 28.610
angles: 90.00 90.00 90.00
Space group I-4m2 (No. 119)
One atom of each set of equivalent atoms:
Sr (0.000, 0.000, 0.000) x2
Sr (0.000, 0.000, 0.131) x4
Ca (0.000, 0.500, 0.750) x2
Mn (0.000, 0.000, 0.431) x4
S (0.000, 0.000, 0.315) x4
O (0.000, 0.000, 0.500) x2
O (0.000, 0.500, 0.076) x4
O (0.000, 0.500, 0.576) x4

Record 2
The following is a theoretical XRD peak list of Ca3Mn2Sb2O12. It was derived from the PBE+U geometry in Alexandria, using copper Kα.
Kinematic intensities with the Lorentz-polarization factor, no thermal factor.

Main lines, by intensity (10° ≤ 2θ ≤ 80°):
| 2theta | d/Å | I (rel.) | hkl |
| --- | --- | --- | --- |
| 32.8 | 2.731 | 100 | 1 2 1 |
| 23.1 | 3.846 | 31 | 1 0 -1 |
| 22.9 | 3.890 | 29 | 0 2 0 |
| 16.4 | 5.417 | 29 | 1 0 0 |
| 23.3 | 3.824 | 28 | 1 0 1 |
| 33.1 | 2.707 | 25 | 2 0 0 |
| 33.0 | 2.717 | 24 | 0 0 2 |
| 58.4 | 1.581 | 23 | 2 4 0 |

Structural model:
abc: 5.413 7.780 5.435
angles: 90.00 90.33 90.00
Space group Pm (No. 6)
One atom of each set of equivalent atoms:
Ca (0.000, 0.000, 0.000) x1
Ca (0.106, 0.500, 0.980) x1
Ca (0.508, 0.000, 0.482) x1
Mn (0.549, 0.256, 0.990) x2
Sb (0.042, 0.257, 0.492) x2
O (0.017, 0.500, 0.396) x1
O (0.069, 0.000, 0.571) x1
O (0.258, 0.208, 0.199) x2
O (0.341, 0.293, 0.703) x2
O (0.534, 0.500, 0.073) x1
O (0.560, 0.000, 0.909) x1
O (0.761, 0.192, 0.275) x2
O (0.856, 0.280, 0.807) x2

Record 3
The following is a theoretical XRD peak list of Ca2MnSbO6. It was derived from the PBE+U geometry in Alexandria, using copper Kα.
Kinematic intensities with the Lorentz-polarization factor, no thermal factor.

Main lines, by intensity (10° ≤ 2θ ≤ 80°):
| 2theta | d/Å | I (rel.) | hkl |
| --- | --- | --- | --- |
| 31.8 | 2.815 | 100 | 1 2 -1 |
| 32.9 | 2.726 | 85 | 1 2 1 |
| 23.1 | 3.855 | 59 | 1 0 1 |
| 32.1 | 2.790 | 47 | 2 0 0 |
| 31.6 | 2.834 | 45 | 0 0 2 |
| 57.8 | 1.596 | 35 | 0 4 2 |
| 21.6 | 4.115 | 34 | 1 0 -1 |
| 44.0 | 2.058 | 33 | 2 0 -2 |

Structural model:
abc: 5.592 7.718 5.681
angles: 90.00 93.80 90.00
Space group P2_1/m (No. 11)
One atom of each set of equivalent atoms:
Ca (0.009, 0.250, 0.038) x2
Ca (0.479, 0.750, 0.440) x2
Mn (0.500, 0.000, 0.000) x2
Sb (0.000, 0.000, 0.500) x2
O (0.105, 0.250, 0.459) x2
O (0.180, 0.551, 0.220) x4
O (0.303, 0.549, 0.702) x4
O (0.417, 0.250, 0.962) x2